Starting from a PBE-relaxed structure, the PXRD pattern of Th2ZnNi12Ge3 was simulated for Cu Ka.
Lines closer than 0.1° are merged.

Principal peaks in the range 10 to 90 degrees two-theta, low angle first:
d (Å)  I (rel.)
4.077  15.5
2.950  61.5
2.137  100.0
2.111  24.2
2.041  44.6
1.841  15.0
1.502  16.9
1.476  24.6
1.234  15.6
1.215  12.8

Cell and atoms:
Cell: 6.4019 6.4019 6.4019 Å, 83.78 83.78 83.78°
Sites, in units of the cell vectors:
Th1 0.1575 0.1575 0.1575
Th2 0.8425 0.8425 0.8425
Zn1 0.5000 0.5000 0.5000
Ni1 0.1096 0.1096 0.6056
Ni2 0.1096 0.6056 0.1096
Ni3 0.2078 0.6902 0.6902
Ni4 0.3098 0.3098 0.7922
Ni5 0.3098 0.7922 0.3098
Ni6 0.3944 0.8904 0.8904
Ni7 0.6056 0.1096 0.1096
Ni8 0.6902 0.2078 0.6902
Ni9 0.6902 0.6902 0.2078
Ni10 0.7922 0.3098 0.3098
Ni11 0.8904 0.3944 0.8904
Ni12 0.8904 0.8904 0.3944
Ge1 0.0000 0.5000 0.5000
Ge2 0.5000 0.0000 0.5000
Ge3 0.5000 0.5000 0.0000

---

Starting from a PBE-relaxed structure, the PXRD pattern of Ac4Hg3Sb was simulated for Cu Ka.
Lines closer than 0.1° are merged.

Principal peaks in the range 10 to 90 degrees two-theta, low angle first:
d (Å)  I (rel.)
2.885  100.0
2.840  48.3
2.073  9.8
2.009  18.3
1.674  20.3
1.648  39.3
1.442  12.5
1.307  8.8
1.274  8.5
1.095  10.7

Cell and atoms:
Cell: 5.6809 5.6809 16.5812 Å, 90.00 90.00 90.00°
Sites, in units of the cell vectors:
Ac1 0.0000 0.5000 0.1246
Ac2 0.0000 0.5000 0.3754
Ac3 0.0000 0.5000 0.6246
Ac4 0.0000 0.5000 0.8754
Ac5 0.5000 0.0000 0.1246
Ac6 0.5000 0.0000 0.3754
Ac7 0.5000 0.0000 0.6246
Ac8 0.5000 0.0000 0.8754
Hg1 0.0000 0.0000 0.0000
Hg2 0.0000 0.0000 0.2438
Hg3 0.0000 0.0000 0.7562
Hg4 0.5000 0.5000 0.2562
Hg5 0.5000 0.5000 0.5000
Hg6 0.5000 0.5000 0.7438
Sb1 0.0000 0.0000 0.5000
Sb2 0.5000 0.5000 0.0000

---

Starting from a PBE-relaxed structure, the PXRD pattern of Pr3Nd3Y2 was simulated for Cu Ka.
Lines closer than 0.1° are merged.

Principal peaks in the range 10 to 90 degrees two-theta, low angle first:
d (Å)  I (rel.)
3.210  23.5
2.961  25.3
2.822  100.0
2.177  16.0
1.857  6.5
1.852  12.9
1.682  21.3
1.573  7.6
1.570  15.0
1.551  10.8

Cell and atoms:
Cell: 5.9224 14.8580 6.4077 Å, 90.00 90.00 90.00°
Sites, in units of the cell vectors:
Pr1 0.2500 0.0000 0.1677
Pr2 0.2500 0.2500 0.1735
Pr3 0.2500 0.5000 0.1677
Pr4 0.7500 0.0000 0.8323
Pr5 0.7500 0.5000 0.8323
Pr6 0.7500 0.7500 0.8265
Nd1 0.2500 0.1253 0.6700
Nd2 0.2500 0.3747 0.6700
Nd3 0.2500 0.7500 0.1598
Nd4 0.7500 0.2500 0.8402
Nd5 0.7500 0.6253 0.3300
Nd6 0.7500 0.8747 0.3300
Y1 0.2500 0.6255 0.6623
Y2 0.2500 0.8745 0.6623
Y3 0.7500 0.1255 0.3377
Y4 0.7500 0.3745 0.3377

---

Starting from a PBE-relaxed structure, the PXRD pattern of MnZnNi was simulated for Cu Ka.
Lines closer than 0.1° are merged.

Principal peaks in the range 10 to 90 degrees two-theta, low angle first:
d (Å)  I (rel.)
3.562  1.9
2.615  2.7
2.108  100.0
2.057  95.5
1.617  3.8
1.472  29.1
1.227  14.8
1.197  27.8
1.187  14.0
1.103  1.5

Cell and atoms:
Cell: 4.1134 4.1134 2.6150 Å, 90.00 90.00 120.00°
Sites, in units of the cell vectors:
Mn1 0.0000 0.0000 0.0000
Zn1 0.6667 0.3333 0.5925
Ni1 0.3333 0.6667 0.3296

---

Starting from a PBE-relaxed structure, the PXRD pattern of Nd6Hg3Ru was simulated for Cu Ka.
Lines closer than 0.1° are merged.

Principal peaks in the range 10 to 90 degrees two-theta, low angle first:
d (Å)  I (rel.)
5.864  20.2
3.730  12.5
3.324  27.1
2.926  100.0
2.749  45.8
2.653  17.9
2.588  52.8
2.305  19.2
2.019  12.9
1.661  13.5

Cell and atoms:
Cell: 8.5660 8.5660 8.5660 Å, 93.23 93.23 93.23°
Sites, in units of the cell vectors:
Nd1 0.0369 0.9235 0.6869
Nd2 0.0765 0.3131 0.9631
Nd3 0.1869 0.4235 0.5369
Nd4 0.3131 0.9631 0.0765
Nd5 0.4235 0.5369 0.1869
Nd6 0.4631 0.8131 0.5765
Nd7 0.5369 0.1869 0.4235
Nd8 0.5765 0.4631 0.8131
Nd9 0.6869 0.0369 0.9235
Nd10 0.8131 0.5765 0.4631
Nd11 0.9235 0.6869 0.0369
Nd12 0.9631 0.0765 0.3131
Hg1 0.1505 0.7500 0.3495
Hg2 0.2500 0.6505 0.8495
Hg3 0.3495 0.1505 0.7500
Hg4 0.6505 0.8495 0.2500
Hg5 0.7500 0.3495 0.1505
Hg6 0.8495 0.2500 0.6505
Ru1 0.0000 0.0000 0.0000
Ru2 0.5000 0.5000 0.5000

---

Starting from a PBE-relaxed structure, the PXRD pattern of La4Pr3Tl2 was simulated for Cu Ka.
Lines closer than 0.1° are merged.

Principal peaks in the range 10 to 90 degrees two-theta, low angle first:
d (Å)  I (rel.)
2.931  92.6
2.839  100.0
2.241  14.4
2.039  33.1
1.656  34.4
1.639  19.6
1.535  25.0
1.420  12.1
1.278  14.4
1.220  9.8

Cell and atoms:
Cell: 5.6776 5.6776 10.9505 Å, 90.03 90.03 60.04°
Sites, in units of the cell vectors:
La1 0.9998 0.9998 0.1595
La2 0.0002 0.0002 0.8405
La3 0.3336 0.3336 0.6684
La4 0.6664 0.6664 0.3316
Pr1 0.0000 0.0000 0.5000
Pr2 0.3334 0.3334 0.0211
Pr3 0.6666 0.6666 0.9789
Tl1 0.3330 0.3330 0.3473
Tl2 0.6670 0.6670 0.6527

---

Starting from a PBE-relaxed structure, the PXRD pattern of Tm2GeO5 was simulated for Cu Ka.
Lines closer than 0.1° are merged.

Principal peaks in the range 10 to 90 degrees two-theta, low angle first:
d (Å)  I (rel.)
7.490  10.1
3.457  13.3
2.979  100.0
2.595  22.3
2.553  8.7
2.515  8.8
1.833  10.9
1.820  20.2
1.621  11.4
1.562  15.1

Cell and atoms:
Cell: 10.2116 3.6653 11.0202 Å, 90.00 90.00 90.00°
Sites, in units of the cell vectors:
Tm1 0.1108 0.2500 0.2212
Tm2 0.1356 0.2500 0.5549
Tm3 0.3644 0.7500 0.0549
Tm4 0.3892 0.7500 0.7212
Tm5 0.6108 0.2500 0.2788
Tm6 0.6356 0.2500 0.9451
Tm7 0.8644 0.7500 0.4451
Tm8 0.8892 0.7500 0.7788
Ge1 0.1748 0.2500 0.8787
Ge2 0.3252 0.7500 0.3787
Ge3 0.6748 0.2500 0.6213
Ge4 0.8252 0.7500 0.1213
O1 0.0068 0.2500 0.8442
O2 0.0080 0.7500 0.6050
O3 0.2237 0.2500 0.0383
O4 0.2350 0.7500 0.8812
O5 0.2426 0.7500 0.2292
O6 0.2574 0.2500 0.7292
O7 0.2650 0.2500 0.3812
O8 0.2763 0.7500 0.5383
O9 0.4920 0.2500 0.1050
O10 0.4932 0.7500 0.3442
O11 0.5068 0.2500 0.6558
O12 0.5080 0.7500 0.8950
O13 0.7237 0.2500 0.4617
O14 0.7350 0.7500 0.6188
O15 0.7426 0.7500 0.2708
O16 0.7574 0.2500 0.7708
O17 0.7650 0.2500 0.1188
O18 0.7763 0.7500 0.9617
O19 0.9920 0.2500 0.3950
O20 0.9932 0.7500 0.1558

---

Starting from a PBE-relaxed structure, the PXRD pattern of CsCaMnI6 was simulated for Cu Ka.
Lines closer than 0.1° are merged.

Principal peaks in the range 10 to 90 degrees two-theta, low angle first:
d (Å)  I (rel.)
8.589  20.7
5.300  37.3
3.543  100.0
3.368  11.8
2.883  67.1
2.863  13.1
2.441  24.1
2.306  14.5
2.245  26.9
1.880  18.3

Cell and atoms:
Cell: 7.7781 7.7781 8.5891 Å, 90.00 90.00 120.00°
Sites, in units of the cell vectors:
Cs1 0.0000 0.0000 0.0000
Ca1 0.3333 0.6667 0.5000
Mn1 0.6667 0.3333 0.5000
I1 0.3867 0.0310 0.6943
I2 0.3867 0.3556 0.3057
I3 0.6444 0.0310 0.3057
I4 0.6444 0.6133 0.6943
I5 0.9690 0.3556 0.6943
I6 0.9690 0.6133 0.3057